# MoOF4
Computed XRD peak list, Cu Kα (λ = 1.5418 Å). Input: the GGA+U geometry in the Materials Project.
No peak broadening, texture or thermal motion is included.

Most intense lines, 5 to 70 degrees two-theta, sorted by position:
2θ (°)	Rel. int.	(hkl)
14.7	40.1	0 2 1
19.9	56.1	0 4 0
21.4	68.7	1 2 -1
21.7	100.0	1 2 1
26.6	11.8	1 0 -2
27.2	13.2	1 0 2

Structural model:
Cell: 5.650 17.867 8.191 Å, 90.00 91.39 90.00°
Space group P2_1/c (No. 14)
Asymmetric unit:
Mo: 0.241 0.112 0.100
Mo: 0.242 0.641 0.016
O: 0.063 0.637 0.849
O: 0.403 0.080 0.946
F: 0.002 0.657 0.182
F: 0.063 0.587 0.477
F: 0.194 0.212 0.042
F: 0.239 0.029 0.242
F: 0.245 0.542 0.089
F: 0.299 0.745 0.037
F: 0.464 0.128 0.579
F: 0.495 0.149 0.245

# LiVSiO4
Computed XRD peak list, Cu Kα (λ = 1.5418 Å). Input: the GGA+U geometry in the Materials Project.
No peak broadening, texture or thermal motion is included.

Most intense lines, 5 to 70 degrees two-theta, sorted by position:
2θ (°)	Rel. int.	(hkl)
19.2	41.5	1 0 1
31.6	39.9	2 0 0
36.2	100.0	1 2 1
37.5	45.4	1 0 3
44.4	41.6	2 2 0
65.6	56.5	2 2 4

Structural model:
Cell: 5.667 5.888 7.949 Å, 90.00 90.00 90.00°
Space group Imma (No. 74)
Asymmetric unit:
Li: 0.250 0.250 0.250
V: 0.000 0.000 0.000
Si: 0.000 0.250 0.633
O: 0.000 0.017 0.749
O: 0.240 0.250 0.508

# Ba2TlV2O7
Computed XRD peak list, Cu Kα (λ = 1.5418 Å). Input: the GGA+U geometry in the Materials Project.
No peak broadening, texture or thermal motion is included.

Most intense lines, 5 to 70 degrees two-theta, sorted by position:
2θ (°)	Rel. int.	(hkl)
6.5	100.0	0 0 1
26.8	31.2	0 1 2
30.2	20.9	1 0 -3
30.7	39.2	0 1 3
32.9	70.2	0 0 5
33.6	23.4	1 1 -1

Structural model:
Cell: 3.884 3.811 13.582 Å, 90.00 90.43 90.00°
Space group Pm (No. 6)
Asymmetric unit:
Ba: 0.000 0.000 0.000
Ba: 0.004 0.000 0.409
Tl: 0.501 0.500 0.205
V: 0.497 0.500 0.852
V: 0.529 0.500 0.560
O: 0.479 0.000 0.567
O: 0.498 0.000 0.837
O: 0.499 0.500 0.424
O: 0.500 0.500 0.988
O: 0.979 0.500 0.575
O: 0.996 0.000 0.206
O: 0.997 0.500 0.846

# RbMg14CrO16
Computed XRD peak list, Cu Kα (λ = 1.5418 Å). Input: the GGA+U geometry in the Materials Project.
No peak broadening, texture or thermal motion is included.

Most intense lines, 5 to 70 degrees two-theta, sorted by position:
2θ (°)	Rel. int.	(hkl)
10.2	16.7	0 1 0
35.6	32.1	1 2 2
41.0	53.2	2 0 0
41.5	100.0	0 0 4
59.8	58.8	2 0 4
60.2	28.1	0 4 4

Structural model:
Cell: 4.398 8.695 8.710 Å, 90.00 90.00 90.00°
Space group Pmmm (No. 47)
Asymmetric unit:
Rb: 0.000 0.000 0.000
Mg: 0.000 0.255 0.250
Mg: 0.000 0.500 0.000
Mg: 0.000 0.500 0.500
Mg: 0.500 0.000 0.254
Mg: 0.500 0.251 0.500
Mg: 0.500 0.259 0.000
Mg: 0.500 0.500 0.250
Cr: 0.000 0.000 0.500
O: 0.000 0.000 0.278
O: 0.000 0.246 0.500
O: 0.000 0.280 0.000
O: 0.000 0.500 0.260
O: 0.500 0.000 0.000
O: 0.500 0.000 0.500
O: 0.500 0.249 0.251
O: 0.500 0.500 0.000
O: 0.500 0.500 0.500